Structure and simulated powder diffractogram of LiVMoF6 (DFT lattice parameters and positions (GGA+U); CuKα).
Lines closer than 0.1° are merged.

The 8 most intense peaks (2θ from 5° to 70°), sorted by position:
| (hkl) | 2θ (°) | I (rel.) |
| --- | --- | --- |
| 1 0 0 | 19.6 | 35.6 |
| 1 0 1 | 21.7 | 15.7 |
| 1 0 2 | 27.3 | 100.0 |
| 2 -1 2 | 39.4 | 28.2 |
| 2 0 2 | 44.3 | 25.6 |
| 1 1 4 | 52.3 | 41.5 |
| 3 -1 2 | 57.2 | 23.2 |
| 3 0 0 | 61.3 | 18.9 |

abc: 5.2387 5.2387 9.4110
angles: 90.00 90.00 120.00
Space group P-31c (No. 163)
Inequivalent atoms, fractional coordinates:
Li: 0.3333 0.6667 0.2500 x2
V: 0.3333 0.6667 0.7500 x2
Mo: 0.0000 0.0000 0.0000 x2
F: 0.0082 0.3352 0.1293 x12